# Li2VCrP2O8F2
Theoretical X-ray diffraction stick pattern, copper Kα. Input: the GGA+U geometry in Alexandria.
No peak broadening, texture or thermal motion is included.

Principal peaks in the range 10 to 90 degrees two-theta, sorted by position:
| 2θ/deg | I/Imax |
| --- | --- |
| 17.86 | 344 |
| 18.40 | 401 |
| 18.58 | 608 |
| 22.27 | 263 |
| 25.82 | 281 |
| 26.53 | 284 |
| 26.64 | 723 |
| 26.84 | 934 |
| 29.08 | 1000 |
| 36.23 | 347 |
| 46.22 | 216 |
| 54.62 | 264 |

Crystal structure
```
Li2VCrP2O8F2
1.0
6.9426 0.0000 0.0000
-3.4202 6.5144 0.0000
-0.2399 -0.2383 7.9854
Li V Cr P O F
4 2 2 4 16 4
Direct
0.0540 0.3150 0.1722
0.4420 0.6896 0.3282
0.5580 0.3104 0.6718
0.9460 0.6850 0.8278
0.0000 0.0000 0.5000
0.5000 0.5000 0.0000
0.0000 0.5000 0.5000
0.5000 0.0000 0.0000
0.0196 0.7382 0.1607
0.4838 0.2645 0.3396
0.5162 0.7355 0.6604
0.9804 0.2618 0.8393
0.0195 0.1081 0.7332
0.1068 0.6153 0.2721
0.1764 0.8413 0.0172
0.1916 0.4171 0.9372
0.3068 0.5798 0.5619
0.3253 0.1562 0.4818
0.3956 0.3890 0.2307
0.4784 0.8879 0.7687
0.5216 0.1121 0.2313
0.6044 0.6110 0.7693
0.6747 0.8438 0.5182
0.6932 0.4202 0.4380
0.8084 0.5829 0.0628
0.8236 0.1587 0.9828
0.8932 0.3847 0.7279
0.9805 0.8919 0.2668
0.0310 0.7590 0.6001
0.4691 0.2305 0.8996
0.5309 0.7695 0.1004
0.9690 0.2410 0.3999
```